No. 1
The following is a theoretical powder XRD pattern of ScBi3O7. It was derived from a DFT-relaxed cell (GGA-PBE, Alexandria), using λ = 1.5418 Å (Cu Kα).

Peak list (12 most intense, 15° ≤ 2θ ≤ 90°, low angle first)
(hkl)  2θ/deg  I/Imax
1 1 2  27.3  13.2
2 2 0  28.2  94.6
0 2 2  28.7  100.0
2 0 2  32.7  46.3
0 4 0  33.5  22.0
4 0 0  46.3  11.4
0 0 4  47.5  68.4
4 2 2  55.4  20.0
2 2 4  56.3  26.5
2 6 0  56.7  14.3
0 6 2  57.0  11.9
0 4 4  59.5  11.5

Cell and atoms:
Cell: 7.851 10.697 7.639 Å, 90.00 90.00 90.00°
Space group C222_1 (No. 20)
Asymmetric unit:
Sc 0.008 0.000 0.000 (multiplicity 4)
Bi 0.041 0.500 0.000 (multiplicity 4)
Bi 0.231 0.233 0.237 (multiplicity 8)
O 0.000 0.085 0.250 (multiplicity 4)
O 0.000 0.352 0.250 (multiplicity 4)
O 0.000 0.354 0.750 (multiplicity 4)
O 0.195 0.138 0.959 (multiplicity 8)
O 0.215 0.116 0.548 (multiplicity 8)

---

No. 2
The following is a theoretical powder XRD pattern of Tb3Nd3Ho5. It was derived from a DFT-relaxed cell (GGA-PBE, Alexandria), using λ = 1.5418 Å (Cu Kα).

Peak list (12 most intense, 15° ≤ 2θ ≤ 90°, low angle first)
(hkl)  2θ/deg  I/Imax
2 1 0  24.3  38.9
0 0 1  25.9  27.2
3 0 0  27.6  95.3
1 1 1  30.5  89.5
2 2 0  31.9  55.4
3 1 0  33.3  100.0
2 1 1  35.8  75.2
2 2 1  41.6  75.3
3 2 1  48.7  49.4
6 0 0  56.9  31.3
6 0 1  63.6  49.5
3 1 2  64.3  43.3

Cell and atoms:
Cell: 11.2055 11.2055 3.4359 Å, 90.00 90.00 120.00°
Space group P-62m (No. 189)
Asymmetric unit:
Tb 0.0000 0.5947 0.0000 (multiplicity 3)
Nd 0.0000 0.3396 0.5000 (multiplicity 3)
Ho 0.0000 0.8401 0.5000 (multiplicity 3)
Ho 0.3333 0.6667 0.5000 (multiplicity 2)

---

No. 3
The following is a theoretical powder XRD pattern of SrCa4Pm. It was derived from a DFT-relaxed cell (GGA-PBE, Alexandria), using λ = 1.5418 Å (Cu Kα).

Peak list (12 most intense, 15° ≤ 2θ ≤ 90°, low angle first)
(hkl)  2θ/deg  I/Imax
1 0 1  22.7  24.1
1 0 3  28.1  100.0
1 1 0  31.3  39.6
1 0 4  32.1  7.5
1 1 2  33.4  9.1
0 0 6  34.8  11.7
1 0 5  36.6  8.1
2 0 0  44.9  14.1
1 1 6  47.5  18.9
2 1 3  53.8  30.5
2 0 6  58.0  10.2
1 0 9  58.4  7.6

Cell and atoms:
Cell: 4.040 4.040 15.447 Å, 90.00 90.00 90.00°
Space group P4/mmm (No. 123)
Asymmetric unit:
Sr 0.000 0.000 0.000 (multiplicity 1)
Ca 0.000 0.000 0.351 (multiplicity 2)
Ca 0.500 0.500 0.188 (multiplicity 2)
Pm 0.500 0.500 0.500 (multiplicity 1)

---

No. 4
The following is a theoretical powder XRD pattern of TiNi4Ir. It was derived from a DFT-relaxed cell (GGA-PBE, Alexandria), using λ = 1.5418 Å (Cu Kα).

Peak list (12 most intense, 15° ≤ 2θ ≤ 90°, low angle first)
(hkl)  2θ/deg  I/Imax
0 0 1  21.1  15.6
1 1 0  23.9  24.5
1 1 -1  27.2  10.4
0 2 1  31.4  10.9
2 0 0  42.7  32.1
0 0 2  43.0  100.0
1 3 1  49.7  40.5
2 0 -2  50.5  19.4
3 3 -1  73.4  12.0
1 3 -3  73.8  11.9
3 3 1  88.3  7.5
1 3 3  88.6  14.8

Cell and atoms:
Cell: 4.466 7.756 4.442 Å, 90.00 108.59 90.00°
Space group C2/m (No. 12)
Asymmetric unit:
Ti 0.000 0.000 0.000 (multiplicity 2)
Ni 0.000 0.172 0.500 (multiplicity 4)
Ni 0.000 0.333 0.000 (multiplicity 4)
Ir 0.000 0.500 0.500 (multiplicity 2)

---

No. 5
The following is a theoretical powder XRD pattern of InBi2Te6. It was derived from a DFT-relaxed cell (GGA-PBE, Alexandria), using λ = 1.5418 Å (Cu Kα).

Peak list (12 most intense, 15° ≤ 2θ ≤ 90°, low angle first)
(hkl)  2θ/deg  I/Imax
1 1 0  17.6  90.8
1 0 3  22.8  20.5
1 1 3  26.0  83.9
2 1 0  28.1  34.6
2 1 3  34.1  100.0
2 2 0  35.7  40.4
0 0 6  38.5  28.8
1 1 6  42.6  19.7
3 0 3  42.8  69.0
2 2 6  53.5  25.7
3 3 0  54.8  14.3
5 2 3  74.7  23.4

Cell and atoms:
Cell: 7.109 7.109 14.033 Å, 90.00 90.00 90.00°
Space group P4_2/mnm (No. 136)
Asymmetric unit:
In 0.000 0.000 0.000 (multiplicity 2)
Bi 0.000 0.000 0.333 (multiplicity 4)
Te 0.191 0.191 0.160 (multiplicity 8)
Te 0.205 0.205 0.500 (multiplicity 4)

---

No. 6
The following is a theoretical powder XRD pattern of Pr3Nd2Dy7. It was derived from a DFT-relaxed cell (GGA-PBE, Alexandria), using λ = 1.5418 Å (Cu Kα).

Peak list (12 most intense, 15° ≤ 2θ ≤ 90°, low angle first)
(hkl)  2θ/deg  I/Imax
0 0 6  28.2  26.1
1 1 -2  30.3  29.4
2 0 0  30.4  25.7
2 0 -1  30.5  32.5
1 1 2  30.8  100.0
0 1 4  31.1  26.6
1 0 -6  31.4  44.6
1 0 6  32.9  32.7
1 1 -4  34.3  36.3
1 1 -5  37.1  21.6
3 0 -6  53.7  30.3
1 2 -6  60.7  24.1

Cell and atoms:
Cell: 5.886 3.611 19.011 Å, 90.00 93.17 90.00°
Space group P2/m (No. 10)
Asymmetric unit:
Pr 0.000 0.000 0.000 (multiplicity 1)
Pr 0.275 0.500 0.632 (multiplicity 2)
Nd 0.213 0.000 0.292 (multiplicity 2)
Dy 0.191 0.500 0.142 (multiplicity 2)
Dy 0.243 0.000 0.462 (multiplicity 2)
Dy 0.307 0.000 0.828 (multiplicity 2)
Dy 0.500 0.500 0.000 (multiplicity 1)

---

No. 7
The following is a theoretical powder XRD pattern of NdTmCu4. It was derived from a DFT-relaxed cell (GGA-PBE, Alexandria), using λ = 1.5418 Å (Cu Kα).

Peak list (12 most intense, 15° ≤ 2θ ≤ 90°, low angle first)
(hkl)  2θ/deg  I/Imax
1 0 1  23.9  20.0
1 1 2  34.5  36.1
1 2 1  35.4  100.0
0 2 2  35.6  40.3
0 3 1  41.0  15.4
2 0 0  41.9  31.7
1 0 3  42.3  43.3
2 2 2  56.1  21.3
1 4 1  58.9  13.6
1 3 4  68.7  17.6
3 2 1  72.4  12.0
3 0 3  76.8  16.0

Cell and atoms:
Cell: 4.308 6.921 7.381 Å, 90.00 90.00 90.00°
Space group Imm2 (No. 44)
Asymmetric unit:
Nd 0.000 0.000 0.000 (multiplicity 2)
Tm 0.000 0.500 0.914 (multiplicity 2)
Cu 0.000 0.194 0.617 (multiplicity 4)
Cu 0.000 0.299 0.288 (multiplicity 4)

---

Number 5 is which compound? InBi2Te6